Structure and simulated X-ray powder pattern of La4ThPt5 (a crystal structure in Alexandria, relaxed with GGA-PBE; Cu Kα).

Cell and atoms:
Cell: 7.348 7.348 7.348 Å, 99.59 99.59 131.83°
Fractional coordinates of all 10 atoms:
1 La 0.100 0.701 0.801
2 La 0.299 0.100 0.399
3 La 0.701 0.900 0.601
4 La 0.900 0.299 0.199
5 Th 0.500 0.500 0.000
6 Pt 0.000 0.000 0.000
7 Pt 0.207 0.403 0.611
8 Pt 0.403 0.793 0.196
9 Pt 0.597 0.207 0.804
10 Pt 0.793 0.597 0.389

Main lines, low angle first (10 to 80 degrees two-theta):
2θ (°), intensity
13.20, 1.8
17.49, 1.7
25.72, 2.3
29.79, 100.0
42.63, 76.2
50.45, 1.3
52.87, 27.3
61.86, 12.7
70.16, 34.9
78.03, 26.1

Structure and simulated X-ray powder pattern of La6TlPt4 (a crystal structure in Alexandria, relaxed with GGA-PBE; Cu Kα).

Cell and atoms:
Cell: 7.491 7.491 21.805 Å, 90.00 90.00 147.00°
Fractional coordinates of all 22 atoms:
1 La 0.000 0.000 0.000
2 La 0.000 0.000 0.500
3 La 0.164 0.836 0.750
4 La 0.269 0.731 0.084
5 La 0.269 0.731 0.416
6 La 0.461 0.539 0.656
7 La 0.461 0.539 0.844
8 La 0.539 0.461 0.156
9 La 0.539 0.461 0.344
10 La 0.731 0.269 0.584
11 La 0.731 0.269 0.916
12 La 0.836 0.164 0.250
13 Tl 0.158 0.842 0.250
14 Tl 0.842 0.158 0.750
15 Pt 0.095 0.905 0.625
16 Pt 0.095 0.905 0.875
17 Pt 0.363 0.637 0.540
18 Pt 0.363 0.637 0.960
19 Pt 0.637 0.363 0.040
20 Pt 0.637 0.363 0.460
21 Pt 0.905 0.095 0.125
22 Pt 0.905 0.095 0.375

Main lines, low angle first (10 to 80 degrees two-theta):
2θ (°), intensity
23.87, 27.9
27.51, 44.7
28.36, 45.8
29.25, 100.0
30.68, 60.2
31.30, 24.4
39.79, 43.9
41.18, 25.3
41.39, 41.7
42.49, 37.9

Structure and simulated X-ray powder pattern of La2Tl2Pt (a crystal structure in Alexandria, relaxed with GGA-PBE; Cu Kα).

Cell and atoms:
Cell: 7.597 7.597 4.869 Å, 90.00 90.00 90.00°
Fractional coordinates of all 10 atoms:
1 La 0.164 0.336 0.000
2 La 0.336 0.836 0.000
3 La 0.664 0.164 0.000
4 La 0.836 0.664 0.000
5 Tl 0.143 0.643 0.500
6 Tl 0.357 0.143 0.500
7 Tl 0.643 0.857 0.500
8 Tl 0.857 0.357 0.500
9 Pt 0.000 0.000 0.500
10 Pt 0.500 0.500 0.500

Main lines, low angle first (10 to 80 degrees two-theta):
2θ (°), intensity
18.22, 18.5
29.83, 12.4
32.13, 100.0
36.92, 24.6
37.44, 39.3
41.93, 14.2
53.15, 10.3
53.59, 28.3
63.52, 14.3
69.35, 15.1